No. 1
Computed powder diffractogram of Rb3NpI6 for Cu Kα (λ = 1.5418 Å), from a structure optimized by DFT (PBE).

Crystal structure
Unit cell a=10.658 b=13.128 c=16.507 alpha=90.00 beta=90.00 gamma=90.00
Space group Fmmm (No. 69)
Asymmetric unit:
Rb (0.000, 0.000, 0.000)
Rb (0.250, 0.250, 0.250)
Np (0.000, 0.000, 0.500)
I (0.000, 0.235, 0.500)
I (0.210, 0.000, 0.367)

Largest 10 diffraction maxima, low angle first, 2θ from 5° to 70°:
(0 0 2), 10.72 deg, rel. 36
(1 1 1), 11.96 deg, rel. 61
(0 2 0), 13.49 deg, rel. 30
(2 0 2), 19.83 deg, rel. 100
(0 2 4), 25.50 deg, rel. 32
(0 4 0), 27.17 deg, rel. 56
(2 0 4), 27.33 deg, rel. 50
(2 2 4), 30.60 deg, rel. 50
(2 4 2), 33.87 deg, rel. 50
(2 4 4), 38.92 deg, rel. 39

No. 2
Computed powder diffractogram of CuSn2I2 for Cu Kα (λ = 1.5418 Å), from a structure optimized by DFT (PBE).

Crystal structure
Unit cell a=7.545 b=7.545 c=5.659 alpha=90.00 beta=90.00 gamma=90.00
Space group P4/mbm (No. 127)
Asymmetric unit:
Cu (0.000, 0.000, 0.000)
Sn (0.214, 0.286, 0.000)
I (0.178, 0.678, 0.500)

Largest 10 diffraction maxima, low angle first, 2θ from 5° to 70°:
(1 1 1), 22.91 deg, rel. 15
(2 0 0), 23.58 deg, rel. 57
(2 1 1), 30.86 deg, rel. 100
(0 0 2), 31.62 deg, rel. 47
(2 2 0), 33.60 deg, rel. 33
(3 1 0), 37.70 deg, rel. 16
(2 0 2), 39.83 deg, rel. 29
(2 2 2), 46.81 deg, rel. 26
(4 1 1), 52.56 deg, rel. 47
(2 1 3), 55.84 deg, rel. 19